Simulated XRD peak list
Compound: LaPm2Nd2
Radiation: Cu Kα (λ = 1.5418 Å)
Structure: a crystal structure in Alexandria, relaxed with PBE

Top 10 peaks for 2θ = 10–90°, most intense first:
2θ 30.36, d = 2.944 Å, I 100, (1 1 -3)
2θ 28.96, d = 3.083 Å, I 75, (3 1 -1)
2θ 27.75, d = 3.215 Å, I 65, (1 1 2)
2θ 28.62, d = 3.119 Å, I 63, (2 2 -1)
2θ 30.49, d = 2.932 Å, I 62, (3 1 -2)
2θ 30.08, d = 2.971 Å, I 60, (0 2 2)
2θ 32.82, d = 2.729 Å, I 44, (2 0 2)
2θ 35.28, d = 2.544 Å, I 40, (1 3 -1)
2θ 34.83, d = 2.575 Å, I 36, (1 3 0)
2θ 33.45, d = 2.679 Å, I 36, (2 2 1)

Cell lengths 10.0188, 8.0416, 9.5092 Å; angles 90.00, 111.97, 90.00 degrees
Space group C2/c (No. 15)
Symmetry-distinct sites (fractional):
La: 0.0000 0.2216 0.2500 x4
Pm: 0.1166 0.1667 0.6476 x8
Nd: 0.1636 0.4357 0.9792 x8